Computed powder X-ray diffraction pattern
Compound: RbSr2PbBr8
Radiation: Cu Kα X-rays
Structure: DFT lattice parameters and positions (GGA-PBE)
Lines closer than 0.1° are merged.

Top 6 peaks for 10 to 90 degrees two-theta, low angle first:
two_theta	I_rel	index
17.7	75	1 0 -1
22.4	40	1 2 0
25.7	68	1 2 1
28.0	46	1 0 -2
34.0	100	2 2 -1
42.4	35	0 2 3

Structural model:
a = 7.0345 Å, b = 9.5958 Å, c = 7.1322 Å
α = 90.00°, β = 90.21°, γ = 90.00°
Space group P2/m (No. 10)
Asymmetric unit:
Rb  0.0000  0.0000  0.0000
Sr  0.5000  0.2513  0.5000
Pb  0.0000  0.5000  0.0000
Br  0.2475  0.5000  0.6535
Br  0.2506  0.2839  0.1439
Br  0.2640  0.0000  0.6145